# 1
Starting from a cell relaxed with PBE, the powder diffractogram of Er12InPt6 was calculated for Cu Kα, 1.54184 Å.
Lines closer than 0.1° are merged.

Structure:
a = 8.5620 Å, b = 8.5620 Å, c = 8.5620 Å
α = 109.47°, β = 109.47°, γ = 109.47°
Positions (direct):
Er 0.1176 0.2981 0.8195
Er 0.1805 0.4786 0.2981
Er 0.1805 0.8824 0.7019
Er 0.2981 0.1805 0.4786
Er 0.2981 0.8195 0.1176
Er 0.4786 0.2981 0.1805
Er 0.5214 0.7019 0.8195
Er 0.7019 0.1805 0.8824
Er 0.7019 0.8195 0.5214
Er 0.8195 0.1176 0.2981
Er 0.8195 0.5214 0.7019
Er 0.8824 0.7019 0.1805
In 0.0000 0.0000 0.0000
Pt 0.1393 0.5000 0.6393
Pt 0.3607 0.8607 0.5000
Pt 0.5000 0.3607 0.8607
Pt 0.5000 0.6393 0.1393
Pt 0.6393 0.1393 0.5000
Pt 0.8607 0.5000 0.3607

Principal peaks in the range 2θ = 10–80°, sorted by position:
two_theta  d/Å  I (rel.)
33.93  2.642  100
38.64  2.330  14
46.86  1.939  24
55.79  1.648  16
57.46  1.604  22
75.76  1.256  13

***

# 2
Starting from a cell relaxed with PBE, the powder diffractogram of Er12PuIn3 was calculated for Cu Kα, 1.54184 Å.
Lines closer than 0.1° are merged.

Structure:
a = 4.7723 Å, b = 4.7723 Å, c = 19.4178 Å
α = 90.00°, β = 90.00°, γ = 90.00°
Positions (direct):
Er 0.0000 0.0000 0.0000
Er 0.0000 0.0000 0.2495
Er 0.0000 0.0000 0.5000
Er 0.0000 0.0000 0.7505
Er 0.0000 0.5000 0.1251
Er 0.0000 0.5000 0.3767
Er 0.0000 0.5000 0.6233
Er 0.0000 0.5000 0.8749
Er 0.5000 0.0000 0.1251
Er 0.5000 0.0000 0.3767
Er 0.5000 0.0000 0.6233
Er 0.5000 0.0000 0.8749
Pu 0.5000 0.5000 0.5000
In 0.5000 0.5000 0.0000
In 0.5000 0.5000 0.2471
In 0.5000 0.5000 0.7529

Principal peaks in the range 2θ = 10–80°, sorted by position:
two_theta  d/Å  I (rel.)
32.31  2.771  100
37.04  2.427  17
37.70  2.386  33
53.88  1.702  24
63.79  1.459  14
64.68  1.441  27